Diffraction record for Cs5Rb2Hg4. The XRD peak list is computed, not measured: it uses a cell relaxed with GGA-PBE and λ = 1.5418 Å (Cu Kα).
Neutral-atom scattering factors, no anomalous dispersion.

Structure:
```
11
Lattice="6.4795 -4.5252 0.0000 6.4795 4.5252 0.0000 -6.4632 0.0000 12.1514" Properties=species:S:1:pos:R:3 pbc="T T T"
Cs 0.0000 0.0000 0.0000
Cs 1.6162 2.2380 7.6445
Cs 4.8796 2.2380 4.5069
Cs 1.6162 -2.2380 7.6445
Cs 4.8796 -2.2380 4.5069
Rb -1.5952 0.0000 10.4273
Rb 8.0910 0.0000 1.7241
Hg 1.5902 0.0000 4.0161
Hg 3.5835 0.0000 1.7028
Hg 2.9123 0.0000 10.4486
Hg 4.9056 0.0000 8.1353
```

Largest 10 diffraction maxima, low angle first, 2θ from 10° to 90°:
12.5 deg, I = 100; 16.2 deg, I = 44; 20.9 deg, I = 51; 21.9 deg, I = 39; 25.1 deg, I = 90; 25.3 deg, I = 63; 28.2 deg, I = 79; 28.5 deg, I = 35; 29.4 deg, I = 76; 47.2 deg, I = 36

---

Diffraction record for CsRb3Hg3. The XRD peak list is computed, not measured: it uses a cell relaxed with GGA-PBE and λ = 1.5418 Å (Cu Kα).
Neutral-atom scattering factors, no anomalous dispersion.

Structure:
```
14
Lattice="4.6999 2.7135 9.7981 -4.6999 2.7135 9.7981 0.0000 -5.4270 9.7981" Properties=species:S:1:pos:R:3 pbc="T T T"
Cs 0.0000 0.0000 2.1609
Cs 0.0000 0.0000 27.2333
Rb -2.3664 -1.3663 12.6551
Rb 0.0000 -2.7325 16.7392
Rb -2.3664 1.3663 16.7392
Rb 2.3664 -1.3663 12.6551
Rb 0.0000 2.7325 12.6551
Rb 2.3664 1.3663 16.7392
Hg 0.0000 -1.9984 9.8022
Hg -1.7307 0.9992 9.8022
Hg -1.7307 -0.9992 19.5921
Hg 1.7307 0.9992 9.8022
Hg 1.7307 -0.9992 19.5921
Hg 0.0000 1.9984 19.5921
```

Largest 10 diffraction maxima, low angle first, 2θ from 10° to 90°:
25.0 deg, I = 68; 26.6 deg, I = 100; 27.3 deg, I = 41; 29.2 deg, I = 62; 29.7 deg, I = 63; 30.6 deg, I = 42; 31.5 deg, I = 47; 32.9 deg, I = 51; 36.7 deg, I = 25; 38.3 deg, I = 30

---

Diffraction record for Cs12Rb3Hg4. The XRD peak list is computed, not measured: it uses a cell relaxed with GGA-PBE and λ = 1.5418 Å (Cu Kα).
Neutral-atom scattering factors, no anomalous dispersion.

Structure:
```
19
Lattice="-7.6081 7.6081 7.6081 7.6081 -7.6081 7.6081 7.6081 7.6081 -7.6081" Properties=species:S:1:pos:R:3 pbc="T T T"
Cs 7.6081 3.8372 -3.7953
Cs 3.8128 0.0000 3.7709
Cs 11.4034 0.0000 3.7709
Cs 3.7709 3.8128 0.0000
Cs 3.8372 -3.7953 7.6081
Cs 0.0000 3.7709 3.8128
Cs 7.6081 3.8372 3.7953
Cs 3.7709 11.4034 0.0000
Cs 3.8372 3.7953 7.6081
Cs -3.7953 7.6081 3.8372
Cs 3.7953 7.6081 3.8372
Cs 0.0000 3.7709 11.4034
Rb 7.6081 0.0000 0.0000
Rb 0.0000 7.6081 0.0000
Rb 0.0000 0.0000 7.6081
Hg 3.8040 3.8040 -3.8040
Hg 3.8040 -3.8040 3.8040
Hg -3.8040 3.8040 3.8040
Hg 3.8040 3.8040 3.8040
```

Largest 10 diffraction maxima, low angle first, 2θ from 10° to 90°:
11.6 deg, I = 77; 20.2 deg, I = 30; 23.4 deg, I = 100; 26.2 deg, I = 49; 33.3 deg, I = 81; 35.4 deg, I = 28; 41.1 deg, I = 30; 53.9 deg, I = 41; 59.5 deg, I = 30; 74.9 deg, I = 20